The following is a computed powder diffractogram of Tm3Sb5O12. It was derived from a PBE-relaxed structure, using Cu Kα X-rays.
No peak broadening, texture or thermal motion is included.

The 10 most intense peaks (2θ from 10° to 90°), low angle first:
| 2θ (°) | I (rel.) |
| --- | --- |
| 11.58 | 18.3 |
| 28.62 | 100.0 |
| 33.16 | 35.2 |
| 47.61 | 41.9 |
| 56.49 | 37.6 |
| 59.25 | 8.5 |
| 69.61 | 5.3 |
| 76.92 | 12.4 |
| 79.31 | 10.5 |
| 88.70 | 9.0 |

Structural model:
a = 9.358 Å, b = 9.358 Å, c = 9.358 Å
α = 109.47°, β = 109.47°, γ = 109.47°
Positions (direct):
Tm1 0.250 0.500 0.750
Tm2 0.250 0.750 0.500
Tm3 0.500 0.250 0.750
Tm4 0.500 0.750 0.250
Tm5 0.750 0.250 0.500
Tm6 0.750 0.500 0.250
Sb1 0.000 0.000 0.518
Sb2 0.000 0.284 0.284
Sb3 0.000 0.518 0.000
Sb4 0.000 0.716 0.716
Sb5 0.284 0.000 0.284
Sb6 0.284 0.284 0.000
Sb7 0.482 0.482 0.482
Sb8 0.518 0.000 0.000
Sb9 0.716 0.000 0.716
Sb10 0.716 0.716 0.000
O1 0.000 0.203 0.482
O2 0.000 0.482 0.203
O3 0.000 0.499 0.703
O4 0.000 0.703 0.499
O5 0.203 0.000 0.482
O6 0.203 0.482 0.000
O7 0.203 0.501 0.501
O8 0.279 0.797 0.797
O9 0.297 0.297 0.797
O10 0.297 0.797 0.297
O11 0.482 0.000 0.203
O12 0.482 0.203 0.000
O13 0.499 0.000 0.703
O14 0.499 0.703 0.000
O15 0.501 0.203 0.501
O16 0.501 0.501 0.203
O17 0.518 0.518 0.721
O18 0.518 0.721 0.518
O19 0.703 0.000 0.499
O20 0.703 0.499 0.000
O21 0.721 0.518 0.518
O22 0.797 0.279 0.797
O23 0.797 0.297 0.297
O24 0.797 0.797 0.279

***

The following is a computed powder diffractogram of GdCoC2. It was derived from a PBE-relaxed structure, using Cu Kα X-rays.
No peak broadening, texture or thermal motion is included.

The 10 most intense peaks (2θ from 10° to 90°), low angle first:
| 2θ (°) | I (rel.) |
| --- | --- |
| 24.62 | 32.3 |
| 29.64 | 21.1 |
| 35.01 | 100.0 |
| 38.82 | 24.9 |
| 39.90 | 17.8 |
| 49.66 | 18.0 |
| 50.22 | 11.3 |
| 50.49 | 13.2 |
| 56.89 | 13.9 |
| 69.31 | 12.7 |

Structural model:
a = 3.634 Å, b = 3.767 Å, c = 3.767 Å
α = 73.71°, β = 90.00°, γ = 90.00°
Positions (direct):
Gd1 0.000 0.000 0.000
Co1 0.500 0.614 0.614
C1 0.500 0.152 0.457
C2 0.500 0.457 0.152